# Hf3H2S2
Calculated powder diffraction line list, Cu Kα, 1.54184 Å. Input: a DFT-relaxed cell (GGA-PBE, Alexandria).
Peak positions follow from Bragg's law for the DFT cell and can differ from measured ones.

Crystal structure
Cell lengths 3.361, 5.504, 6.246 Å; angles 66.49, 74.79, 89.73 degrees
Positions (direct):
Hf 0.000 0.000 0.000
Hf 0.236 0.744 0.524
Hf 0.764 0.256 0.476
H 0.174 0.325 0.656
H 0.826 0.675 0.344
S 0.409 0.221 0.179
S 0.591 0.779 0.821

The 6 most intense peaks (15° ≤ 2θ ≤ 90°), in order of falling intensity:
32.60°, rel. 100
35.77°, rel. 70
35.62°, rel. 61
34.75°, rel. 43
35.11°, rel. 42
17.69°, rel. 30